Pm3Si4Pt7: simulated powder diffractogram (Cu Kα), based on a DFT-relaxed cell (GGA-PBE, Alexandria).

Cell and atoms:
```
Pm3Si4Pt7
1.0
7.8397 -2.0452 0.0000
7.8397 2.0452 0.0000
-5.5461 0.0000 7.7962
Pm Si Pt
3 4 7
Direct
0.0000 0.0000 0.0000 Pm
0.3273 0.3273 0.3292 Pm
0.6727 0.6727 0.6708 Pm
0.1105 0.1105 0.8250 Si
0.3316 0.3316 0.7242 Si
0.6684 0.6684 0.2758 Si
0.8895 0.8895 0.1750 Si
0.0000 0.0000 0.5000 Pt
0.1687 0.1687 0.4183 Pt
0.3057 0.3057 0.9572 Pt
0.4921 0.4921 0.7345 Pt
0.5079 0.5079 0.2655 Pt
0.6943 0.6943 0.0428 Pt
0.8313 0.8313 0.5817 Pt
```

The 8 most intense peaks (2θ = 10–80°), by angle:
29.75°, rel. 361
35.34°, rel. 1000
36.19°, rel. 589
37.20°, rel. 289
37.63°, rel. 225
42.45°, rel. 354
44.28°, rel. 491
67.53°, rel. 229


KUCuSe4: simulated powder diffractogram (Cu Kα), based on a DFT-relaxed cell (GGA-PBE, Alexandria).

Cell and atoms:
```
KUCuSe4
1.0
7.0408 0.0000 0.0000
0.0000 5.7604 0.0000
-2.7870 0.0000 8.9889
K U Cu Se
2 2 2 8
Direct
0.2497 0.2500 0.0537 K
0.7503 0.7500 0.9463 K
0.2698 0.2500 0.5569 U
0.7302 0.7500 0.4431 U
0.2604 0.7500 0.3287 Cu
0.7396 0.2500 0.6713 Cu
0.0183 0.5107 0.7028 Se
0.0183 0.9893 0.7028 Se
0.4290 0.7500 0.5878 Se
0.4624 0.7500 0.1679 Se
0.5376 0.2500 0.8321 Se
0.5710 0.2500 0.4122 Se
0.9817 0.0107 0.2972 Se
0.9817 0.4893 0.2972 Se
```

The 8 most intense peaks (2θ = 10–80°), by angle:
18.29°, rel. 657
20.80°, rel. 670
26.93°, rel. 632
28.04°, rel. 912
31.05°, rel. 632
31.16°, rel. 1000
32.14°, rel. 741
33.86°, rel. 807


Cd3SnPd12: simulated powder diffractogram (Cu Kα), based on a DFT-relaxed cell (GGA-PBE, Alexandria).

Cell and atoms:
```
Cd3SnPd12
1.0
4.0470 0.0000 0.0000
0.0000 4.0470 0.0000
0.0000 0.0000 16.0067
Cd Sn Pd
3 1 12
Direct
0.0000 0.0000 0.0000 Cd
0.0000 0.0000 0.2501 Cd
0.0000 0.0000 0.7499 Cd
0.0000 0.0000 0.5000 Sn
0.0000 0.5000 0.1248 Pd
0.0000 0.5000 0.3766 Pd
0.0000 0.5000 0.6234 Pd
0.0000 0.5000 0.8752 Pd
0.5000 0.0000 0.1248 Pd
0.5000 0.0000 0.3766 Pd
0.5000 0.0000 0.6234 Pd
0.5000 0.0000 0.8752 Pd
0.5000 0.5000 0.0000 Pd
0.5000 0.5000 0.2501 Pd
0.5000 0.5000 0.5000 Pd
0.5000 0.5000 0.7499 Pd
```

The 7 most intense peaks (2θ = 10–80°), by angle:
38.68°, rel. 1000
44.79°, rel. 328
45.32°, rel. 158
65.20°, rel. 104
65.62°, rel. 204
78.46°, rel. 244
79.23°, rel. 118


MgZn4Ag3: simulated powder diffractogram (Cu Kα), based on a DFT-relaxed cell (GGA-PBE, Alexandria).

Cell and atoms:
```
MgZn4Ag3
1.0
-1.4154 4.5613 5.2492
1.4154 -4.5613 5.2492
1.4154 4.5613 -5.2492
Mg Zn Ag
1 4 3
Direct
0.0000 0.0000 0.0000 Mg
0.1265 0.8692 0.2574 Zn
0.3882 0.1308 0.2574 Zn
0.6118 0.8692 0.7426 Zn
0.8735 0.1308 0.7426 Zn
0.2304 0.7304 0.5000 Ag
0.5000 0.5000 0.0000 Ag
0.7696 0.2696 0.5000 Ag
```

The 8 most intense peaks (2θ = 10–80°), by angle:
12.86°, rel. 183
27.29°, rel. 178
37.42°, rel. 786
38.39°, rel. 545
39.51°, rel. 547
39.62°, rel. 1000
47.16°, rel. 387
79.78°, rel. 361


> Which formula does entry 4 have?

MgZn4Ag3